Simulated powder diffraction line list of LiCeZr2N4 for λ = 1.5418 Å (Cu Kα), from a cell relaxed with PBE.
Peak positions follow from Bragg's law for the DFT cell and can differ from measured ones.

Main lines, sorted by position (2θ = 10–90°):
two_theta, Rel. int.
29.35, 100
29.47, 35
32.71, 63
33.13, 35
37.87, 46
40.52, 45

Crystal structure
```
data_LiCeZr2N4
_chemical_formula_sum 'Li2 Ce2 Zr4 N8'
_space_group_name_H-M_alt 'P 1'
_space_group_IT_number 1
_cell_length_a 5.6536
_cell_length_b 5.6536
_cell_length_c 11.0422
_cell_angle_alpha 90.00
_cell_angle_beta 90.00
_cell_angle_gamma 146.11
loop_
_space_group_symop_operation_xyz
'x,y,z'
loop_
_atom_site_label
_atom_site_type_symbol
_atom_site_fract_x
_atom_site_fract_y
_atom_site_fract_z
Li1 Li 0.1570 0.8430 0.7500
Li2 Li 0.8430 0.1570 0.2500
Ce1 Ce 0.1094 0.8906 0.2500
Ce2 Ce 0.8906 0.1094 0.7500
Zr1 Zr 0.3684 0.6316 0.0552
Zr2 Zr 0.3684 0.6316 0.4448
Zr3 Zr 0.6316 0.3684 0.5552
Zr4 Zr 0.6316 0.3684 0.9448
N1 N 0.0000 0.0000 0.0000
N2 N 0.0000 0.0000 0.5000
N3 N 0.2684 0.7316 0.6153
N4 N 0.2684 0.7316 0.8847
N5 N 0.4469 0.5531 0.2500
N6 N 0.5531 0.4469 0.7500
N7 N 0.7316 0.2684 0.1153
N8 N 0.7316 0.2684 0.3847
```